Entry 1:
Computed PXRD pattern of Nd8AgOs2 for Cu Kα, 1.54184 Å, from DFT lattice parameters and positions (GGA-PBE).
No peak broadening, texture or thermal motion is included.

The 8 most intense peaks (2θ from 10° to 90°), by angle:
5.698 Å, I 33.6, (0 0 1); 3.062 Å, I 82.8, (2 0 1); 2.867 Å, I 39.9, (1 1 -2); 2.849 Å, I 100.0, (0 4 1); 2.795 Å, I 71.9, (3 1 -1); 2.611 Å, I 93.2, (2 4 0); 2.392 Å, I 58.7, (3 3 0); 2.368 Å, I 45.8, (1 5 -1)

Cell and atoms:
```
data_Nd8AgOs2
_symmetry_space_group_name_H-M 'C 1 m 1'
_symmetry_Int_Tables_number 8
_cell_length_a 8.852
_cell_length_b 13.161
_cell_length_c 5.894
_cell_angle_alpha 90.00
_cell_angle_beta 104.81
_cell_angle_gamma 90.00
loop_
_symmetry_equiv_pos_as_xyz
'x,y,z'
'x,-y,z'
'x+1/2,y+1/2,z'
'x+1/2,-y+1/2,z'
loop_
_atom_site_label
_atom_site_type_symbol
_atom_site_fract_x
_atom_site_fract_y
_atom_site_fract_z
Nd1 Nd 0.000 0.000 0.000
Nd2 Nd 0.081 0.369 0.796
Nd3 Nd 0.182 0.130 0.617
Nd4 Nd 0.261 0.500 0.411
Nd5 Nd 0.382 0.241 0.206
Ag1 Ag 0.380 0.000 0.210
Os1 Os 0.381 0.308 0.705
```



Entry 2:
Computed PXRD pattern of BP2RhS for Cu Kα, 1.54184 Å, from DFT lattice parameters and positions (GGA-PBE).
No peak broadening, texture or thermal motion is included.

The 8 most intense peaks (2θ from 10° to 90°), by angle:
3.990 Å, I 21.6, (1 0 0); 2.887 Å, I 32.5, (1 0 1); 2.821 Å, I 17.2, (1 1 0); 2.339 Å, I 100.0, (1 1 1); 2.090 Å, I 20.5, (0 0 2); 1.995 Å, I 35.2, (2 0 0); 1.443 Å, I 23.7, (2 0 2); 1.208 Å, I 23.2, (3 1 1)

Cell and atoms:
```
data_BP2RhS
_symmetry_space_group_name_H-M 'P 4/m m m'
_symmetry_Int_Tables_number 123
_symmetry_space_group_name_Hall '-P 4 2'
_cell_length_a 3.990
_cell_length_b 3.990
_cell_length_c 4.181
_cell_angle_alpha 90.00
_cell_angle_beta 90.00
_cell_angle_gamma 90.00
loop_
_atom_site_label
_atom_site_type_symbol
_atom_site_fract_x
_atom_site_fract_y
_atom_site_fract_z
B1 B 0.000 0.000 0.000
P1 P 0.000 0.500 0.000
Rh1 Rh 0.500 0.500 0.500
S1 S 0.000 0.000 0.500
```



Entry 3:
Computed PXRD pattern of Ga for Cu Kα, 1.54184 Å, from DFT lattice parameters and positions (GGA-PBE).
No peak broadening, texture or thermal motion is included.

The 4 most intense peaks (2θ from 10° to 90°), by angle:
2.373 Å, I 100.0, (1 1 0); 1.678 Å, I 16.8, (2 0 0); 1.370 Å, I 33.2, (2 1 1); 1.186 Å, I 10.2, (2 2 0)

Cell and atoms:
```
data_Ga
_symmetry_space_group_name_H-M 'I m -3 m'
_symmetry_Int_Tables_number 229
_symmetry_space_group_name_Hall '-I 4 2 3'
_cell_length_a 3.355
_cell_length_b 3.355
_cell_length_c 3.355
_cell_angle_alpha 90.00
_cell_angle_beta 90.00
_cell_angle_gamma 90.00
loop_
_atom_site_label
_atom_site_type_symbol
_atom_site_fract_x
_atom_site_fract_y
_atom_site_fract_z
Ga1 Ga 0.000 0.000 0.000
```